1.
Starting from a cell relaxed with PBE, the powder XRD pattern of La2SmAuO6 was calculated for λ = 1.5418 Å (Cu Kα).
Lines closer than 0.1° are merged.

Cell and atoms:
Cell: 3.7771 5.7022 7.2114 Å, 90.41 102.93 90.89°
Element x y z (fractional)
La 0.1072 0.0259 0.2664
La 0.8928 0.9741 0.7336
Sm 0.5000 0.5000 0.0000
Au 0.5000 0.5000 0.5000
O 0.0153 0.7510 0.0206
O 0.3419 0.2054 0.6185
O 0.3723 0.6996 0.7067
O 0.6277 0.3004 0.2933
O 0.6581 0.7946 0.3815
O 0.9847 0.2490 0.9794

The 8 most intense peaks (10° ≤ 2θ ≤ 90°), by angle:
d 3.117, 28.63 deg, intensity 100; d 3.068, 29.11 deg, intensity 79; d 3.006, 29.72 deg, intensity 96; d 2.977, 30.02 deg, intensity 92; d 2.885, 31.00 deg, intensity 58; d 2.851, 31.38 deg, intensity 60; d 2.033, 44.58 deg, intensity 41; d 1.668, 55.04 deg, intensity 36

2.
Starting from a cell relaxed with PBE, the powder XRD pattern of HoSeO3F was calculated for λ = 1.5418 Å (Cu Kα).
Lines closer than 0.1° are merged.

Cell and atoms:
Cell: 4.2426 6.3798 6.7937 Å, 93.30 95.67 97.68°
Element x y z (fractional)
Ho 0.0500 0.1322 0.2612
Ho 0.9500 0.8678 0.7388
Se 0.1837 0.3700 0.7848
Se 0.8163 0.6300 0.2152
O 0.0102 0.8119 0.0687
O 0.1163 0.4925 0.2876
O 0.1648 0.1752 0.5910
O 0.8352 0.8248 0.4090
O 0.8837 0.5075 0.7124
O 0.9898 0.1881 0.9313
F 0.4463 0.8256 0.7659
F 0.5537 0.1744 0.2341

The 8 most intense peaks (10° ≤ 2θ ≤ 90°), by angle:
d 6.306, 14.04 deg, intensity 21; d 4.180, 21.26 deg, intensity 100; d 3.734, 23.83 deg, intensity 51; d 3.372, 26.44 deg, intensity 85; d 2.938, 30.42 deg, intensity 52; d 2.778, 32.22 deg, intensity 80; d 2.072, 43.68 deg, intensity 34; d 1.895, 48.01 deg, intensity 34